[1]
Diffraction record for Ca8AsP5. The powder diffractogram is theoretical, not measured: it uses a cell relaxed with PBE and Cu Ka.
Neutral-atom scattering factors, no anomalous dispersion.

Structural model:
a = 7.5965 Å, b = 7.5965 Å, c = 7.5965 Å
α = 109.35°, β = 109.35°, γ = 109.71°
Positions (direct):
Ca (0.0078, 0.1228, 0.7480)
Ca (0.2326, 0.4858, 0.6053)
Ca (0.3727, 0.7674, 0.2532)
Ca (0.3748, 0.2598, 0.2520)
Ca (0.5142, 0.1195, 0.7468)
Ca (0.7402, 0.9922, 0.1150)
Ca (0.8772, 0.6252, 0.8850)
Ca (0.8805, 0.6273, 0.3947)
As (0.5000, 0.5000, 0.0000)
P (0.0000, 0.3770, 0.1246)
P (0.1246, 0.0000, 0.3770)
P (0.2523, 0.8754, 0.8754)
P (0.6230, 0.7477, 0.6230)
P (0.7500, 0.2500, 0.5000)

Main lines, in order of rising 2θ (10 to 90 degrees two-theta):
2θ (°)  Rel. int.
14.28  11
24.85  11
32.23  100
32.35  55
38.39  96
48.69  14
50.97  13
53.21  23
65.54  22
65.76  11
69.50  11
80.35  13

***

[2]
Diffraction record for Ce8AlPd24. The powder diffractogram is theoretical, not measured: it uses a cell relaxed with PBE and Cu Ka.
Neutral-atom scattering factors, no anomalous dispersion.

Structural model:
a = 8.4460 Å, b = 8.4460 Å, c = 8.4460 Å
α = 90.00°, β = 90.00°, γ = 90.00°
Positions (direct):
Ce (0.2505, 0.2505, 0.2505)
Ce (0.2505, 0.2505, 0.7495)
Ce (0.2505, 0.7495, 0.2505)
Ce (0.2505, 0.7495, 0.7495)
Ce (0.7495, 0.2505, 0.2505)
Ce (0.7495, 0.2505, 0.7495)
Ce (0.7495, 0.7495, 0.2505)
Ce (0.7495, 0.7495, 0.7495)
Al (0.0000, 0.0000, 0.0000)
Pd (0.0000, 0.0000, 0.2934)
Pd (0.0000, 0.0000, 0.7066)
Pd (0.0000, 0.2611, 0.5000)
Pd (0.0000, 0.2934, 0.0000)
Pd (0.0000, 0.5000, 0.2611)
Pd (0.0000, 0.5000, 0.7389)
Pd (0.0000, 0.7066, 0.0000)
Pd (0.0000, 0.7389, 0.5000)
Pd (0.2536, 0.5000, 0.5000)
Pd (0.2611, 0.0000, 0.5000)
Pd (0.2611, 0.5000, 0.0000)
Pd (0.2934, 0.0000, 0.0000)
Pd (0.5000, 0.0000, 0.2611)
Pd (0.5000, 0.0000, 0.7389)
Pd (0.5000, 0.2536, 0.5000)
Pd (0.5000, 0.2611, 0.0000)
Pd (0.5000, 0.5000, 0.2536)
Pd (0.5000, 0.5000, 0.7464)
Pd (0.5000, 0.7389, 0.0000)
Pd (0.5000, 0.7464, 0.5000)
Pd (0.7066, 0.0000, 0.0000)
Pd (0.7389, 0.0000, 0.5000)
Pd (0.7389, 0.5000, 0.0000)
Pd (0.7464, 0.5000, 0.5000)

Main lines, in order of rising 2θ (10 to 90 degrees two-theta):
2θ (°)  Rel. int.
29.92  2
36.87  100
38.43  2
42.83  50
44.21  2
62.17  30
70.52  1
74.52  32
75.51  2
78.45  9
79.42  2
87.12  1

***

[3]
Diffraction record for Cs4PPt5. The powder diffractogram is theoretical, not measured: it uses a cell relaxed with PBE and Cu Ka.
Neutral-atom scattering factors, no anomalous dispersion.

Structural model:
a = 11.3378 Å, b = 6.6659 Å, c = 12.7413 Å
α = 62.58°, β = 31.46°, γ = 85.96°
Positions (direct):
Cs (0.0077, 0.9923, 0.7260)
Cs (0.2740, 0.7260, 0.9923)
Cs (0.7260, 0.2740, 0.0077)
Cs (0.9923, 0.0077, 0.2740)
P (0.3827, 0.3827, 0.6173)
Pt (0.2678, 0.7321, 0.2679)
Pt (0.3023, 0.6731, 0.6977)
Pt (0.6731, 0.3023, 0.3269)
Pt (0.7321, 0.2678, 0.7322)
Pt (0.8848, 0.8848, 0.1152)

Main lines, in order of rising 2θ (10 to 90 degrees two-theta):
2θ (°)  Rel. int.
15.97  25
16.27  40
21.40  22
28.81  22
31.34  100
32.26  42
32.87  47
35.08  23
35.37  21
39.06  25
51.95  18
54.27  37

***

[4]
Diffraction record for NaCu5Au7. The powder diffractogram is theoretical, not measured: it uses a cell relaxed with PBE and Cu Ka.
Neutral-atom scattering factors, no anomalous dispersion.

Structural model:
a = 6.9440 Å, b = 6.9440 Å, c = 6.9440 Å
α = 136.03°, β = 98.32°, γ = 97.79°
Positions (direct):
Na (0.0000, 0.0000, 0.0000)
Cu (0.0089, 0.0030, 0.5036)
Cu (0.0089, 0.5053, 0.0059)
Cu (0.2358, 0.7358, 0.5000)
Cu (0.4994, 0.0030, 0.9941)
Cu (0.4994, 0.5053, 0.4964)
Au (0.2108, 0.5090, 0.7018)
Au (0.3353, 0.3353, 0.0000)
Au (0.3402, 0.9995, 0.3407)
Au (0.6568, 0.6568, 0.0000)
Au (0.6588, 0.9995, 0.6593)
Au (0.7783, 0.2783, 0.5000)
Au (0.8073, 0.5090, 0.2982)

Main lines, in order of rising 2θ (10 to 90 degrees two-theta):
2θ (°)  Rel. int.
13.75  32
27.73  46
34.28  41
34.50  40
39.48  22
39.68  100
39.92  25
44.46  49
44.63  39
44.81  73
68.40  21
71.76  21

***

[5]
Diffraction record for Ce2B8O15. The powder diffractogram is theoretical, not measured: it uses a cell relaxed with PBE and Cu Ka.
Neutral-atom scattering factors, no anomalous dispersion.

Structural model:
a = 9.2217 Å, b = 4.2428 Å, c = 12.5924 Å
α = 90.00°, β = 116.69°, γ = 90.00°
Positions (direct):
Ce (0.1416, 0.2345, 0.4481)
Ce (0.1416, 0.7655, 0.9481)
Ce (0.8584, 0.2345, 0.0519)
Ce (0.8584, 0.7655, 0.5519)
B (0.1077, 0.2849, 0.7050)
B (0.1077, 0.7151, 0.2050)
B (0.2840, 0.2307, 0.2349)
B (0.2840, 0.7693, 0.7349)
B (0.4052, 0.2832, 0.8742)
B (0.4052, 0.7168, 0.3742)
B (0.4141, 0.2082, 0.0861)
B (0.4141, 0.7918, 0.5861)
B (0.5859, 0.2082, 0.4139)
B (0.5859, 0.7918, 0.9139)
B (0.5948, 0.2832, 0.6258)
B (0.5948, 0.7168, 0.1258)
B (0.7160, 0.2307, 0.2651)
B (0.7160, 0.7693, 0.7651)
B (0.8923, 0.2849, 0.7950)
B (0.8923, 0.7151, 0.2950)
O (0.0000, 0.1497, 0.7500)
O (0.0000, 0.8503, 0.2500)
O (0.0295, 0.2397, 0.5790)
O (0.0295, 0.7603, 0.0790)
O (0.1409, 0.3791, 0.2356)
O (0.1409, 0.6209, 0.7356)
O (0.2761, 0.1184, 0.7649)
O (0.2761, 0.8816, 0.2649)
O (0.2874, 0.2716, 0.1227)
O (0.2874, 0.7284, 0.6227)
O (0.3383, 0.3127, 0.9603)
O (0.3383, 0.6873, 0.4603)
O (0.4274, 0.3784, 0.3389)
O (0.4274, 0.6216, 0.8389)
O (0.4439, 0.1278, 0.5890)
O (0.4439, 0.8722, 0.0890)
O (0.5561, 0.1278, 0.9110)
O (0.5561, 0.8722, 0.4110)
O (0.5726, 0.3784, 0.1611)
O (0.5726, 0.6216, 0.6611)
O (0.6617, 0.3127, 0.5397)
O (0.6617, 0.6873, 0.0397)
O (0.7126, 0.2716, 0.3773)
O (0.7126, 0.7284, 0.8773)
O (0.7239, 0.1184, 0.7351)
O (0.7239, 0.8816, 0.2351)
O (0.8591, 0.3791, 0.2644)
O (0.8591, 0.6209, 0.7644)
O (0.9705, 0.2397, 0.9210)
O (0.9705, 0.7603, 0.4210)

Main lines, in order of rising 2θ (10 to 90 degrees two-theta):
2θ (°)  Rel. int.
10.74  85
15.75  55
22.80  36
23.28  56
28.64  71
29.08  31
29.32  80
29.95  71
31.85  33
33.75  100
42.62  33
44.43  55

***

[6]
Diffraction record for Sr2Sb3. The powder diffractogram is theoretical, not measured: it uses a cell relaxed with PBE and Cu Ka.
Neutral-atom scattering factors, no anomalous dispersion.

Structural model:
a = 9.2226 Å, b = 9.2226 Å, c = 9.2226 Å
α = 30.95°, β = 30.95°, γ = 30.95°
Positions (direct):
Sr (0.1026, 0.1026, 0.1026)
Sr (0.8974, 0.8974, 0.8974)
Sb (0.3160, 0.3160, 0.3160)
Sb (0.5000, 0.5000, 0.5000)
Sb (0.6840, 0.6840, 0.6840)

Main lines, in order of rising 2θ (10 to 90 degrees two-theta):
2θ (°)  Rel. int.
20.24  8
26.91  100
36.51  50
40.27  24
42.10  8
43.37  6
45.94  23
55.48  9
60.06  20
65.72  9
68.26  10
83.88  8

***

[7]
Diffraction record for CeTlTc2O8. The powder diffractogram is theoretical, not measured: it uses a cell relaxed with PBE and Cu Ka.
Neutral-atom scattering factors, no anomalous dispersion.

Structural model:
a = 6.0747 Å, b = 6.0747 Å, c = 7.8372 Å
α = 90.00°, β = 90.00°, γ = 120.00°
Positions (direct):
Ce (0.0000, 0.0000, 0.0000)
Tl (0.0000, 0.0000, 0.5000)
Tc (0.3333, 0.6667, 0.2622)
Tc (0.6667, 0.3333, 0.7378)
O (0.1706, 0.3439, 0.1811)
O (0.1733, 0.8294, 0.1811)
O (0.3333, 0.6667, 0.4847)
O (0.3439, 0.1733, 0.8189)
O (0.6561, 0.8267, 0.1811)
O (0.6667, 0.3333, 0.5153)
O (0.8267, 0.1706, 0.8189)
O (0.8294, 0.6561, 0.8189)

Main lines, in order of rising 2θ (10 to 90 degrees two-theta):
2θ (°)  Rel. int.
16.85  54
20.33  61
28.40  100
29.41  79
41.34  46
47.15  11
51.54  38
52.16  16
55.84  28
61.01  14
68.64  17
72.31  13

***

[8]
Diffraction record for TiF4. The powder diffractogram is theoretical, not measured: it uses a cell relaxed with PBE and Cu Ka.
Neutral-atom scattering factors, no anomalous dispersion.

Structural model:
a = 6.6561 Å, b = 6.6561 Å, c = 4.9805 Å
α = 103.35°, β = 103.35°, γ = 128.83°
Positions (direct):
Ti (0.0868, 0.9132, 0.7500)
Ti (0.9132, 0.0868, 0.2500)
F (0.0621, 0.4205, 0.2594)
F (0.1585, 0.2557, 0.6904)
F (0.2557, 0.1585, 0.1904)
F (0.4205, 0.0621, 0.7594)
F (0.5795, 0.9379, 0.2406)
F (0.7443, 0.8415, 0.8096)
F (0.8415, 0.7443, 0.3096)
F (0.9379, 0.5795, 0.7406)

Main lines, in order of rising 2θ (10 to 90 degrees two-theta):
2θ (°)  Rel. int.
14.76  33
19.71  100
20.53  30
25.85  50
29.48  32
34.63  10
36.78  8
42.99  30
43.63  51
56.73  8
61.63  11
64.17  12